For Ba2V3P6HO22, a PBE+U-relaxed structure gives the computed PXRD pattern in this record (CuKα).
Peak positions follow from Bragg's law for the DFT cell and can differ from measured ones.

Atomic structure:
Unit cell a=4.9313 b=8.0952 c=11.4654 alpha=88.99 beta=88.61 gamma=87.06
Space group P-1 (No. 2)
Symmetry-distinct sites (fractional):
Ba  0.2336  0.0070  0.1758
V  0.2193  0.4934  0.2031
V  0.5000  0.0000  0.5000
P  0.0343  0.7560  0.4265
P  0.2664  0.6999  0.6585
P  0.3138  0.2946  0.9472
H  0.0000  0.5000  0.0000
O  0.0101  0.6960  0.7390
O  0.0399  0.6528  0.3179
O  0.0842  0.4305  0.9138
O  0.1800  0.6488  0.5295
O  0.2079  0.9084  0.4038
O  0.2282  0.1168  0.9278
O  0.2543  0.1973  0.5324
O  0.3611  0.8787  0.6540
O  0.3621  0.3188  0.0788
O  0.4269  0.6795  0.1282
O  0.4859  0.5707  0.6903

Most intense lines, 2θ from 10° to 90°, by intensity:
- 2θ 29.14, I = 100, (1 2 -1)
- 2θ 23.06, I = 84, (-1 1 1)
- 2θ 30.35, I = 73, (-1 2 1)
- 2θ 25.96, I = 68, (0 1 -3)
- 2θ 23.54, I = 61, (1 0 2)
- 2θ 19.46, I = 55, (1 0 1)